Computed powder XRD pattern of Tb2Ho5Rh4 for λ = 1.5418 Å (Cu Kα), from a crystal structure in Alexandria, relaxed with PBE.
Lines closer than 0.1° are merged.

Structural model:
```
Tb2Ho5Rh4
1.0
10.2738 -1.6428 0.0000
10.2738 1.6428 0.0000
-1.4431 0.0000 8.0300
Tb Ho Rh
2 5 4
Direct
0.0695 0.0695 0.1546
0.9305 0.9305 0.8454
0.1736 0.1736 0.5199
0.1815 0.1815 0.9103
0.5000 0.5000 0.5000
0.8185 0.8185 0.0897
0.8264 0.8264 0.4801
0.0529 0.0529 0.7923
0.2316 0.2316 0.2470
0.7684 0.7684 0.7530
0.9471 0.9471 0.2077
```

Main lines, by angle (2θ = 10–90°):
2θ = 27.50°, I = 100
2θ = 30.26°, I = 88
2θ = 31.49°, I = 71
2θ = 33.48°, I = 71
2θ = 35.06°, I = 48
2θ = 35.27°, I = 52
2θ = 37.76°, I = 54
2θ = 39.24°, I = 82
2θ = 41.64°, I = 79
2θ = 43.21°, I = 66
2θ = 43.85°, I = 50
2θ = 56.01°, I = 74